Starting from a cell relaxed with PBE+U, the powder diffraction line list of Tl6WF12 was computed for Cu Kα, 1.54184 Å.
Lines closer than 0.1° are merged.

Peak list (10 most intense, 10° ≤ 2θ ≤ 90°, by angle)
| Position (°2θ) | I (rel.) |
| --- | --- |
| 24.32 | 100 |
| 24.42 | 26 |
| 28.19 | 50 |
| 28.75 | 8 |
| 40.22 | 29 |
| 40.35 | 22 |
| 47.60 | 37 |
| 47.73 | 9 |
| 49.83 | 10 |
| 64.00 | 11 |

Cell and atoms:
a b c (Å): 7.7594 7.7594 7.7594
angles (deg): 99.73 99.73 99.73
Atoms (fractional coordinates):
Tl 0.1033 0.6563 0.8381
Tl 0.1619 0.8967 0.3437
Tl 0.3437 0.1619 0.8967
Tl 0.6563 0.8381 0.1033
Tl 0.8381 0.1033 0.6563
Tl 0.8967 0.3437 0.1619
W 0.5000 0.5000 0.5000
F 0.0717 0.3116 0.9183
F 0.0817 0.9283 0.6884
F 0.2522 0.5202 0.4336
F 0.3116 0.9183 0.0717
F 0.4336 0.2522 0.5202
F 0.4798 0.5664 0.7478
F 0.5202 0.4336 0.2522
F 0.5664 0.7478 0.4798
F 0.6884 0.0817 0.9283
F 0.7478 0.4798 0.5664
F 0.9183 0.0717 0.3116
F 0.9283 0.6884 0.0817